Pm3DyRh8: computed powder diffractogram (Cu Ka), based on a GGA-PBE-relaxed structure.
No peak broadening, texture or thermal motion is included.

Top 6 peaks for 2θ from 10° to 90°, by angle:
| Position (°2θ) | I/Imax |
| --- | --- |
| 33.28 | 39 |
| 39.24 | 100 |
| 41.06 | 29 |
| 59.47 | 15 |
| 63.48 | 32 |
| 69.88 | 26 |

Structure:
Cell: 9.328 9.328 9.328 Å, 33.54 33.54 33.54°
Element x y z (fractional)
Pm 0.000 0.000 0.000
Pm 0.125 0.125 0.125
Pm 0.625 0.625 0.625
Dy 0.500 0.500 0.500
Rh 0.062 0.062 0.561
Rh 0.062 0.561 0.062
Rh 0.064 0.563 0.563
Rh 0.312 0.312 0.312
Rh 0.561 0.062 0.062
Rh 0.563 0.064 0.563
Rh 0.563 0.563 0.064
Rh 0.813 0.813 0.813